No. 1
This entry pairs a crystal structure of Mg2Al3 with its calculated PXRD pattern. Radiation: copper Kα. Structure: DFT lattice parameters and positions (PBE).
Intensities are scaled so that the largest is 100.

Largest 10 diffraction maxima, in order of rising 2θ, 5° ≤ 2θ ≤ 70°:
| 2θ (°) | d_spacing | I (rel.) |
| --- | --- | --- |
| 19.30 | 4.598 | 13 |
| 24.99 | 3.563 | 21 |
| 30.38 | 2.943 | 11 |
| 38.04 | 2.366 | 100 |
| 38.46 | 2.341 | 35 |
| 39.19 | 2.299 | 44 |
| 40.41 | 2.232 | 69 |
| 56.07 | 1.640 | 22 |
| 57.32 | 1.607 | 15 |
| 62.83 | 1.479 | 14 |

Structure:
Cell lengths 8.933, 8.210, 5.467 Å; angles 78.76, 64.35, 36.89 degrees
Fractional coordinates of all 10 atoms:
Mg (0.249, 0.751, 0.751)
Mg (0.250, 0.250, 0.250)
Mg (0.750, 0.750, 0.750)
Mg (0.751, 0.249, 0.249)
Al (0.161, 0.664, 0.336)
Al (0.190, 0.190, 0.810)
Al (0.336, 0.839, 0.161)
Al (0.664, 0.161, 0.839)
Al (0.810, 0.810, 0.190)
Al (0.839, 0.336, 0.664)


No. 2
This entry pairs a crystal structure of Mg18Al11 with its calculated PXRD pattern. Radiation: copper Kα. Structure: DFT lattice parameters and positions (PBE).
Intensities are scaled so that the largest is 100.

Largest 10 diffraction maxima, in order of rising 2θ, 5° ≤ 2θ ≤ 70°:
| 2θ (°) | d_spacing | I (rel.) |
| --- | --- | --- |
| 33.92 | 2.643 | 8 |
| 36.04 | 2.492 | 100 |
| 36.10 | 2.488 | 6 |
| 39.99 | 2.255 | 25 |
| 40.05 | 2.251 | 5 |
| 41.84 | 2.159 | 7 |
| 41.90 | 2.156 | 4 |
| 43.64 | 2.074 | 14 |
| 64.75 | 1.440 | 12 |
| 64.84 | 1.438 | 15 |

Structure:
Cell lengths 9.149, 9.149, 9.157 Å; angles 109.48, 109.48, 109.33 degrees
Fractional coordinates of all 29 atoms:
Mg (0.000, 0.000, 0.000)
Mg (0.000, 0.684, 0.744)
Mg (0.002, 0.002, 0.346)
Mg (0.003, 0.658, 0.347)
Mg (0.280, 0.600, 0.942)
Mg (0.311, 0.311, 0.060)
Mg (0.316, 0.715, 0.660)
Mg (0.345, 0.345, 0.691)
Mg (0.395, 0.686, 0.344)
Mg (0.399, 0.999, 0.029)
Mg (0.599, 0.599, 0.625)
Mg (0.600, 0.280, 0.942)
Mg (0.632, 0.632, 0.164)
Mg (0.658, 0.003, 0.347)
Mg (0.684, 0.000, 0.744)
Mg (0.686, 0.395, 0.344)
Mg (0.715, 0.316, 0.660)
Mg (0.999, 0.399, 0.029)
Al (0.001, 0.187, 0.713)
Al (0.002, 0.366, 0.530)
Al (0.181, 0.818, 0.160)
Al (0.186, 0.367, 0.347)
Al (0.187, 0.001, 0.713)
Al (0.366, 0.002, 0.530)
Al (0.367, 0.186, 0.347)
Al (0.635, 0.821, 0.973)
Al (0.818, 0.181, 0.160)
Al (0.821, 0.635, 0.973)
Al (0.822, 0.822, 0.536)


No. 3
This entry pairs a crystal structure of Mg3Al2 with its calculated PXRD pattern. Radiation: copper Kα. Structure: DFT lattice parameters and positions (PBE).
Intensities are scaled so that the largest is 100.

Largest 10 diffraction maxima, in order of rising 2θ, 5° ≤ 2θ ≤ 70°:
| 2θ (°) | d_spacing | I (rel.) |
| --- | --- | --- |
| 9.82 | 9.008 | 19 |
| 29.76 | 3.003 | 14 |
| 35.08 | 2.558 | 86 |
| 39.25 | 2.295 | 100 |
| 40.04 | 2.252 | 27 |
| 45.48 | 1.994 | 29 |
| 53.23 | 1.721 | 7 |
| 60.07 | 1.540 | 27 |
| 62.18 | 1.493 | 15 |
| 68.46 | 1.370 | 7 |

Structure:
Cell lengths 9.520, 9.520, 9.520 Å; angles 32.55, 32.55, 32.55 degrees
Fractional coordinates of all 10 atoms:
Mg (0.077, 0.422, 0.730)
Mg (0.270, 0.923, 0.578)
Mg (0.422, 0.730, 0.077)
Mg (0.578, 0.270, 0.923)
Mg (0.730, 0.077, 0.422)
Mg (0.923, 0.578, 0.270)
Al (0.000, 0.000, 0.000)
Al (0.167, 0.167, 0.167)
Al (0.500, 0.500, 0.500)
Al (0.833, 0.833, 0.833)


No. 4
This entry pairs a crystal structure of Mg13Al16 with its calculated PXRD pattern. Radiation: copper Kα. Structure: DFT lattice parameters and positions (PBE).
Intensities are scaled so that the largest is 100.

Largest 10 diffraction maxima, in order of rising 2θ, 5° ≤ 2θ ≤ 70°:
| 2θ (°) | d_spacing | I (rel.) |
| --- | --- | --- |
| 34.40 | 2.607 | 11 |
| 36.55 | 2.458 | 100 |
| 40.57 | 2.224 | 33 |
| 42.46 | 2.129 | 11 |
| 44.28 | 2.045 | 19 |
| 61.61 | 1.505 | 4 |
| 63.02 | 1.475 | 9 |
| 65.80 | 1.419 | 24 |
| 67.17 | 1.394 | 7 |
| 68.52 | 1.369 | 7 |

Structure:
Cell lengths 9.032, 9.032, 9.032 Å; angles 109.47, 109.47, 109.47 degrees
Fractional coordinates of all 29 atoms:
Mg (0.000, 0.000, 0.000)
Mg (0.000, 0.308, 0.592)
Mg (0.000, 0.592, 0.308)
Mg (0.284, 0.692, 0.692)
Mg (0.308, 0.000, 0.592)
Mg (0.308, 0.592, 0.000)
Mg (0.408, 0.408, 0.716)
Mg (0.408, 0.716, 0.408)
Mg (0.592, 0.000, 0.308)
Mg (0.592, 0.308, 0.000)
Mg (0.692, 0.284, 0.692)
Mg (0.692, 0.692, 0.284)
Mg (0.716, 0.408, 0.408)
Al (0.000, 0.000, 0.330)
Al (0.000, 0.330, 0.000)
Al (0.000, 0.632, 0.814)
Al (0.000, 0.814, 0.632)
Al (0.182, 0.368, 0.368)
Al (0.186, 0.186, 0.818)
Al (0.186, 0.818, 0.186)
Al (0.330, 0.000, 0.000)
Al (0.368, 0.182, 0.368)
Al (0.368, 0.368, 0.182)
Al (0.632, 0.000, 0.814)
Al (0.632, 0.814, 0.000)
Al (0.670, 0.670, 0.670)
Al (0.814, 0.000, 0.632)
Al (0.814, 0.632, 0.000)
Al (0.818, 0.186, 0.186)